The following is a computed powder XRD pattern of Ce3Si3Pt2. It was derived from a DFT-relaxed cell (PBE, Alexandria), using CuKα.

Largest 8 diffraction maxima, by angle, 15 to 90 degrees two-theta:
| 2theta | d (Å) | I (rel.) |
| --- | --- | --- |
| 17.57 | 5.048 | 34.3 |
| 23.66 | 3.761 | 38.7 |
| 32.80 | 2.730 | 63.9 |
| 32.93 | 2.720 | 100.0 |
| 33.41 | 2.682 | 63.2 |
| 35.82 | 2.507 | 25.9 |
| 40.84 | 2.210 | 78.9 |
| 42.71 | 2.117 | 41.6 |

Structure:
a = 5.762 Å, b = 5.762 Å, c = 15.043 Å
α = 90.00°, β = 90.00°, γ = 136.88°
Positions (direct):
Ce 0.091 0.909 0.750
Ce 0.369 0.631 0.599
Ce 0.369 0.631 0.901
Ce 0.631 0.369 0.099
Ce 0.631 0.369 0.401
Ce 0.909 0.091 0.250
Si 0.084 0.916 0.550
Si 0.084 0.916 0.950
Si 0.193 0.807 0.250
Si 0.807 0.193 0.750
Si 0.916 0.084 0.050
Si 0.916 0.084 0.450
Pt 0.340 0.660 0.115
Pt 0.340 0.660 0.385
Pt 0.660 0.340 0.615
Pt 0.660 0.340 0.885